[1]
GdDyCoHg: calculated powder diffractogram (Cu Kα), based on a PBE-relaxed structure.
Peak positions follow from Bragg's law for the DFT cell and can differ from measured ones.

Cell and atoms:
```
data_GdDyCoHg
_space_group_name_H-M_alt 'F -4 3 m'
_space_group_IT_number 216
_space_group_name_Hall 'F -4 2 3'
_cell_length_a 7.1522
_cell_length_b 7.1522
_cell_length_c 7.1522
_cell_angle_alpha 90.00
_cell_angle_beta 90.00
_cell_angle_gamma 90.00
loop_
_atom_site_label
_atom_site_fract_x
_atom_site_fract_y
_atom_site_fract_z
Gd1 0.0000 0.0000 0.0000
Dy1 0.0000 0.0000 0.5000
Co1 0.2500 0.2500 0.7500
Hg1 0.2500 0.2500 0.2500
```

Largest 12 diffraction maxima, sorted by position, 2θ from 10° to 90°:
2θ (°), d_spacing, I/Imax, index
21.5, 4.129, 12.8, 1 1 1
24.9, 3.576, 1.0, 2 0 0
35.5, 2.529, 100.0, 2 2 0
41.9, 2.156, 7.5, 3 1 1
51.1, 1.788, 17.8, 4 0 0
56.0, 1.641, 3.3, 3 3 1
63.7, 1.460, 36.4, 4 2 2
68.1, 1.376, 2.6, 5 1 1
75.1, 1.264, 11.3, 4 4 0
79.2, 1.209, 2.6, 5 3 1
86.0, 1.131, 16.4, 6 2 0
90.0, 1.091, 1.1, 5 3 3



[2]
Ti2AlPdBr: calculated powder diffractogram (Cu Kα), based on a PBE-relaxed structure.
Peak positions follow from Bragg's law for the DFT cell and can differ from measured ones.

Cell and atoms:
```
data_Ti2AlPdBr
_space_group_name_H-M_alt 'P 4/m m m'
_space_group_IT_number 123
_space_group_name_Hall '-P 4 2'
_cell_length_a 5.0074
_cell_length_b 5.0074
_cell_length_c 4.5083
_cell_angle_alpha 90.00
_cell_angle_beta 90.00
_cell_angle_gamma 90.00
loop_
_atom_site_label
_atom_site_fract_x
_atom_site_fract_y
_atom_site_fract_z
Ti1 0.0000 0.5000 0.0000
Al1 0.0000 0.0000 0.0000
Pd1 0.0000 0.0000 0.5000
Br1 0.5000 0.5000 0.5000
```

Largest 12 diffraction maxima, sorted by position, 2θ from 10° to 90°:
2θ (°), d_spacing, I/Imax, index
17.7, 5.007, 9.8, 1 0 0
25.2, 3.541, 20.9, 1 1 0
32.1, 2.785, 100.0, 1 1 1
35.9, 2.504, 53.9, 2 0 0
40.0, 2.254, 19.7, 0 0 2
47.8, 1.902, 7.5, 1 1 2
51.6, 1.770, 18.1, 2 2 0
54.8, 1.675, 30.1, 2 0 2
62.1, 1.494, 27.5, 3 1 1
67.2, 1.392, 15.8, 2 2 2
67.7, 1.383, 10.5, 1 1 3
87.0, 1.120, 7.8, 4 2 0



[3]
LiTe4H4O6F8: calculated powder diffractogram (Cu Kα), based on a PBE-relaxed structure.
Peak positions follow from Bragg's law for the DFT cell and can differ from measured ones.

Cell and atoms:
```
data_LiTe4H4O6F8
_space_group_name_H-M_alt 'P 1'
_space_group_IT_number 1
_cell_length_a 5.0451
_cell_length_b 6.5500
_cell_length_c 11.5701
_cell_angle_alpha 82.39
_cell_angle_beta 78.52
_cell_angle_gamma 67.99
loop_
_space_group_symop_operation_xyz
'x,y,z'
loop_
_atom_site_label
_atom_site_fract_x
_atom_site_fract_y
_atom_site_fract_z
Li1 0.0000 0.0000 0.0000
Te1 0.4029 0.3791 0.9455
Te2 0.7669 0.7699 0.2831
Te3 0.8041 0.8871 0.7384
Te4 0.9352 0.3046 0.4717
H1 0.2221 0.3340 0.6134
H2 0.2383 0.7322 0.1597
H3 0.2451 0.8101 0.5770
H4 0.6621 0.3862 0.1054
O1 0.0258 0.4807 0.3246
O2 0.0403 0.7761 0.1387
O3 0.0405 0.4354 0.5846
O4 0.0977 0.9453 0.6116
O5 0.6571 0.2620 0.0661
O6 0.8547 0.0334 0.8528
F1 0.1403 0.6132 0.7754
F2 0.2964 0.1024 0.0035
F3 0.3516 0.1370 0.4221
F4 0.5495 0.6352 0.9206
F5 0.5558 0.1922 0.6616
F6 0.5764 0.6075 0.4855
F7 0.5921 0.6180 0.1842
F8 0.9909 0.8944 0.3583
```

Largest 12 diffraction maxima, sorted by position, 2θ from 10° to 90°:
2θ (°), d_spacing, I/Imax, index
19.2, 4.615, 24.0, 1 0 0
19.5, 4.546, 96.4, 1 1 1
20.8, 4.274, 100.0, 0 1 2
21.9, 4.050, 32.5, 1 0 -1
22.2, 4.010, 58.5, 0 1 -2
22.4, 3.965, 33.7, 1 1 2
22.6, 3.940, 28.6, 1 1 -1
22.8, 3.900, 24.1, 1 0 2
28.2, 3.165, 18.3, 1 -1 0
29.5, 3.030, 17.7, 0 2 0
31.3, 2.859, 21.7, 1 2 -1
34.1, 2.627, 20.6, 1 2 3



[4]
Hf5ZrTl2: calculated powder diffractogram (Cu Kα), based on a PBE-relaxed structure.
Peak positions follow from Bragg's law for the DFT cell and can differ from measured ones.

Cell and atoms:
```
data_Hf5ZrTl2
_space_group_name_H-M_alt 'P b a m'
_space_group_IT_number 55
_cell_length_a 6.2876
_cell_length_b 12.5740
_cell_length_c 4.4486
_cell_angle_alpha 90.00
_cell_angle_beta 90.00
_cell_angle_gamma 90.00
loop_
_space_group_symop_operation_xyz
'x,y,z'
'-x,-y,-z'
'-x,-y,z'
'x,y,-z'
'x+1/2,-y+1/2,-z'
'-x+1/2,y+1/2,z'
'-x+1/2,y+1/2,-z'
'x+1/2,-y+1/2,z'
loop_
_atom_site_label
_atom_site_fract_x
_atom_site_fract_y
_atom_site_fract_z
Hf1 0.0000 0.0000 0.0000
Hf2 0.0011 0.2490 0.0000
Hf3 0.2480 0.8741 0.5000
Zr1 0.0000 0.5000 0.0000
Tl1 0.2493 0.6249 0.5000
```

Largest 12 diffraction maxima, sorted by position, 2θ from 10° to 90°:
2θ (°), d_spacing, I/Imax, index
14.1, 6.287, 0.8, 0 2 0
15.8, 5.624, 1.3, 1 1 0
20.0, 4.448, 1.1, 0 0 1
25.5, 3.489, 1.1, 1 1 1
28.4, 3.144, 0.9, 2 0 0
34.9, 2.567, 100.0, 2 0 1
40.6, 2.223, 49.9, 2 4 0
43.8, 2.068, 0.6, 1 5 1
58.7, 1.572, 34.1, 4 0 0
70.2, 1.341, 40.1, 4 4 1
73.8, 1.284, 11.6, 4 0 2
87.8, 1.112, 5.8, 0 0 4



[5]
Ce3B2C3: calculated powder diffractogram (Cu Kα), based on a PBE-relaxed structure.
Peak positions follow from Bragg's law for the DFT cell and can differ from measured ones.

Cell and atoms:
```
data_Ce3B2C3
_space_group_name_H-M_alt 'C m c m'
_space_group_IT_number 63
_space_group_name_Hall '-C 2c 2'
_cell_length_a 2.9255
_cell_length_b 10.2268
_cell_length_c 14.4631
_cell_angle_alpha 90.00
_cell_angle_beta 90.00
_cell_angle_gamma 90.00
loop_
_atom_site_label
_atom_site_fract_x
_atom_site_fract_y
_atom_site_fract_z
Ce1 0.0000 0.1166 0.1004
Ce2 0.0000 0.3578 0.2500
B1 0.0000 0.1476 0.5904
C1 0.0000 0.3823 0.0673
C2 0.0000 0.3828 0.7500
```

Largest 12 diffraction maxima, sorted by position, 2θ from 10° to 90°:
2θ (°), d_spacing, I/Imax, index
25.4, 3.508, 100.0, 0 2 3
32.4, 2.761, 39.1, 1 1 1
34.2, 2.621, 17.7, 1 1 2
35.1, 2.557, 35.3, 0 4 0
37.3, 2.411, 25.2, 0 0 6
40.6, 2.220, 34.5, 1 1 4
41.1, 2.194, 16.8, 1 3 1
42.6, 2.122, 13.3, 1 3 2
45.0, 2.017, 14.3, 1 3 3
48.1, 1.892, 21.5, 1 3 4
52.2, 1.754, 16.5, 0 4 6
55.2, 1.665, 22.9, 1 1 7



[6]
Tb2SmTmAs4: calculated powder diffractogram (Cu Kα), based on a PBE-relaxed structure.
Peak positions follow from Bragg's law for the DFT cell and can differ from measured ones.

Cell and atoms:
```
data_Tb2SmTmAs4
_space_group_name_H-M_alt 'P 1 2/m 1'
_space_group_IT_number 10
_cell_length_a 7.1684
_cell_length_b 4.1418
_cell_length_c 7.1700
_cell_angle_alpha 90.00
_cell_angle_beta 109.47
_cell_angle_gamma 90.00
loop_
_space_group_symop_operation_xyz
'x,y,z'
'-x,-y,-z'
'-x,y,-z'
'x,-y,z'
loop_
_atom_site_label
_atom_site_fract_x
_atom_site_fract_y
_atom_site_fract_z
Tb1 0.0000 0.0000 0.0000
Tb2 0.5000 0.5000 0.0000
Sm1 0.0000 0.5000 0.5000
Tm1 0.5000 0.0000 0.5000
As1 0.2548 0.0000 0.7515
As2 0.2548 0.5000 0.2516
```

Largest 10 diffraction maxima, sorted by position, 2θ from 10° to 90°:
2θ (°), d_spacing, I/Imax, index
26.4, 3.380, 22.3, 2 0 0
30.5, 2.927, 100.0, 1 1 1
43.7, 2.070, 74.6, 0 2 0
51.8, 1.765, 11.0, 3 1 1
54.3, 1.690, 26.3, 0 0 4
63.6, 1.464, 12.2, 2 2 2
70.1, 1.343, 4.5, 4 0 2
72.2, 1.309, 33.6, 1 3 1
80.3, 1.195, 25.2, 2 0 -6
86.3, 1.127, 3.6, 6 0 0



[7]
OsCSe2N: calculated powder diffractogram (Cu Kα), based on a PBE-relaxed structure.
Peak positions follow from Bragg's law for the DFT cell and can differ from measured ones.

Cell and atoms:
```
data_OsCSe2N
_space_group_name_H-M_alt 'P 4/m m m'
_space_group_IT_number 123
_space_group_name_Hall '-P 4 2'
_cell_length_a 5.7240
_cell_length_b 5.7240
_cell_length_c 2.4699
_cell_angle_alpha 90.00
_cell_angle_beta 90.00
_cell_angle_gamma 90.00
loop_
_atom_site_label
_atom_site_fract_x
_atom_site_fract_y
_atom_site_fract_z
Os1 0.0000 0.0000 0.0000
C1 0.5000 0.5000 0.5000
Se1 0.0000 0.5000 0.5000
N1 0.5000 0.5000 0.0000
```

Largest 12 diffraction maxima, sorted by position, 2θ from 10° to 90°:
2θ (°), d_spacing, I/Imax, index
15.5, 5.724, 94.4, 1 0 0
31.3, 2.862, 100.0, 2 0 0
35.1, 2.560, 28.0, 2 1 0
39.7, 2.268, 25.6, 1 0 1
42.9, 2.108, 73.9, 1 1 1
44.8, 2.024, 36.3, 2 2 0
51.4, 1.777, 24.7, 2 1 1
63.7, 1.460, 45.5, 3 1 1
65.2, 1.431, 11.6, 4 0 0
74.1, 1.280, 16.0, 4 2 0
81.2, 1.184, 11.6, 3 3 1
85.7, 1.134, 11.2, 2 0 2



[8]
Cs7SiSe6: calculated powder diffractogram (Cu Kα), based on a PBE-relaxed structure.
Peak positions follow from Bragg's law for the DFT cell and can differ from measured ones.

Cell and atoms:
```
data_Cs7SiSe6
_space_group_name_H-M_alt 'I b a m'
_space_group_IT_number 72
_space_group_name_Hall '-I 2 2c'
_cell_length_a 9.2147
_cell_length_b 14.9055
_cell_length_c 19.1705
_cell_angle_alpha 90.00
_cell_angle_beta 90.00
_cell_angle_gamma 90.00
loop_
_atom_site_label
_atom_site_fract_x
_atom_site_fract_y
_atom_site_fract_z
Cs1 0.0000 0.0000 0.2500
Cs2 0.1633 0.2945 0.1326
Cs3 0.2466 0.0488 0.0000
Si1 0.0000 0.5000 0.2500
Se1 0.0695 0.1771 0.5000
Se2 0.1544 0.4134 0.3169
```

Largest 12 diffraction maxima, sorted by position, 2θ from 10° to 90°:
2θ (°), d_spacing, I/Imax, index
21.7, 4.089, 24.0, 1 1 4
22.1, 4.031, 82.1, 0 2 4
24.5, 3.627, 72.5, 2 2 2
26.2, 3.400, 100.0, 1 4 1
26.8, 3.326, 25.2, 2 3 1
27.9, 3.197, 55.1, 0 0 6
29.9, 2.987, 50.5, 2 3 3
30.9, 2.891, 32.1, 2 1 5
40.2, 2.246, 26.2, 1 6 3
42.1, 2.146, 29.3, 1 4 7
43.6, 2.076, 25.6, 4 0 4
56.8, 1.621, 29.0, 4 2 8



[9]
Mg6Si5: calculated powder diffractogram (Cu Kα), based on a PBE-relaxed structure.
Peak positions follow from Bragg's law for the DFT cell and can differ from measured ones.

Cell and atoms:
```
data_Mg6Si5
_space_group_name_H-M_alt 'P 1'
_space_group_IT_number 1
_cell_length_a 4.4643
_cell_length_b 7.2452
_cell_length_c 13.5273
_cell_angle_alpha 90.56
_cell_angle_beta 97.99
_cell_angle_gamma 96.05
loop_
_space_group_symop_operation_xyz
'x,y,z'
loop_
_atom_site_label
_atom_site_fract_x
_atom_site_fract_y
_atom_site_fract_z
Mg1 0.0000 0.0000 0.0000
Mg2 0.0137 0.4877 0.0825
Mg3 0.0786 0.6812 0.3257
Mg4 0.2807 0.4058 0.5210
Mg5 0.3573 0.8322 0.5971
Mg6 0.3904 0.5010 0.7607
Mg7 0.4323 0.0003 0.8262
Mg8 0.4499 0.0308 0.3897
Mg9 0.5027 0.4280 0.3023
Mg10 0.5422 0.7638 0.1677
Mg11 0.5734 0.1767 0.1405
Mg12 0.8443 0.1969 0.6675
Si1 0.0770 0.9968 0.2086
Si2 0.4292 0.3265 0.9616
Si3 0.4690 0.6829 0.9690
Si4 0.6776 0.7024 0.4509
Si5 0.8546 0.5676 0.6117
Si6 0.8827 0.3152 0.8664
Si7 0.8840 0.8257 0.7294
Si8 0.9353 0.6647 0.8832
Si9 0.9690 0.2233 0.3378
Si10 0.9773 0.0388 0.4955
```

Largest 12 diffraction maxima, sorted by position, 2θ from 10° to 90°:
2θ (°), d_spacing, I/Imax, index
14.1, 6.279, 38.0, 0 1 1
31.6, 2.833, 51.0, 1 -2 1
32.3, 2.772, 43.8, -1 2 2
33.1, 2.708, 90.4, -1 1 4
33.8, 2.650, 41.7, 1 2 0
35.1, 2.555, 84.1, 1 2 -2
36.8, 2.445, 34.5, 1 0 -5
37.1, 2.422, 87.7, 1 -1 4
37.8, 2.380, 100.0, 1 2 2
39.6, 2.278, 51.2, 0 3 -2
40.7, 2.219, 70.5, 2 0 -1
41.1, 2.198, 48.1, 2 0 0



[10]
ErPaIn6: calculated powder diffractogram (Cu Kα), based on a PBE-relaxed structure.
Peak positions follow from Bragg's law for the DFT cell and can differ from measured ones.

Cell and atoms:
```
data_ErPaIn6
_space_group_name_H-M_alt 'P 4/m m m'
_space_group_IT_number 123
_space_group_name_Hall '-P 4 2'
_cell_length_a 4.6315
_cell_length_b 4.6315
_cell_length_c 9.2452
_cell_angle_alpha 90.00
_cell_angle_beta 90.00
_cell_angle_gamma 90.00
loop_
_atom_site_label
_atom_site_fract_x
_atom_site_fract_y
_atom_site_fract_z
Er1 0.0000 0.0000 0.0000
Pa1 0.0000 0.0000 0.5000
In1 0.0000 0.5000 0.2479
In2 0.5000 0.5000 0.0000
In3 0.5000 0.5000 0.5000
```

Largest 12 diffraction maxima, sorted by position, 2θ from 10° to 90°:
2θ (°), d_spacing, I/Imax, index
19.2, 4.629, 5.8, 0 0 2
27.2, 3.273, 5.1, 1 1 0
33.5, 2.672, 100.0, 1 1 2
38.9, 2.314, 49.9, 2 0 0
43.7, 2.070, 3.1, 2 1 0
48.2, 1.890, 2.4, 1 1 4
56.2, 1.636, 33.6, 2 2 0
67.0, 1.396, 26.2, 3 1 2
67.1, 1.394, 13.0, 1 1 6
70.5, 1.336, 11.3, 2 2 4
83.5, 1.158, 3.6, 4 0 0
83.7, 1.156, 1.8, 0 0 8



[11]
PrNd2PaSb5: calculated powder diffractogram (Cu Kα), based on a PBE-relaxed structure.
Peak positions follow from Bragg's law for the DFT cell and can differ from measured ones.

Cell and atoms:
```
data_PrNd2PaSb5
_space_group_name_H-M_alt 'P 4/m m m'
_space_group_IT_number 123
_space_group_name_Hall '-P 4 2'
_cell_length_a 5.4663
_cell_length_b 5.4663
_cell_length_c 11.8715
_cell_angle_alpha 90.00
_cell_angle_beta 90.00
_cell_angle_gamma 90.00
loop_
_atom_site_label
_atom_site_fract_x
_atom_site_fract_y
_atom_site_fract_z
Pr1 0.0000 0.0000 0.0000
Nd1 0.5000 0.5000 0.2719
Pa1 0.0000 0.0000 0.5000
Sb1 0.0000 0.0000 0.2508
Sb2 0.0000 0.5000 0.5000
Sb3 0.5000 0.5000 0.0000
```

Largest 12 diffraction maxima, sorted by position, 2θ from 10° to 90°:
2θ (°), d_spacing, I/Imax, index
22.1, 4.021, 26.3, 1 0 2
23.0, 3.865, 92.8, 1 1 0
30.1, 2.968, 58.3, 0 0 4
32.4, 2.765, 20.7, 1 1 3
32.8, 2.733, 100.0, 2 0 0
38.2, 2.354, 44.7, 1 1 4
45.1, 2.010, 76.9, 2 0 4
47.0, 1.933, 36.4, 2 2 0
53.0, 1.729, 19.6, 3 1 0
56.9, 1.620, 43.5, 2 2 4
62.1, 1.494, 21.7, 3 1 4
86.0, 1.130, 27.5, 4 2 4



[12]
Ac19Tl4Ir6: calculated powder diffractogram (Cu Kα), based on a PBE-relaxed structure.
Peak positions follow from Bragg's law for the DFT cell and can differ from measured ones.

Cell and atoms:
```
data_Ac19Tl4Ir6
_space_group_name_H-M_alt 'I 2 3'
_space_group_IT_number 197
_space_group_name_Hall 'I 2 2 3'
_cell_length_a 12.9854
_cell_length_b 12.9854
_cell_length_c 12.9854
_cell_angle_alpha 90.00
_cell_angle_beta 90.00
_cell_angle_gamma 90.00
loop_
_atom_site_label
_atom_site_fract_x
_atom_site_fract_y
_atom_site_fract_z
Ac1 0.0000 0.0000 0.0000
Ac2 0.0000 0.0000 0.3529
Ac3 0.0552 0.2992 0.2836
Tl1 0.1600 0.1600 0.8400
Ir1 0.0000 0.3199 0.5000
```

Largest 12 diffraction maxima, sorted by position, 2θ from 10° to 90°:
2θ (°), d_spacing, I/Imax, index
21.6, 4.106, 12.4, 3 0 1
25.7, 3.471, 23.8, 3 2 1
27.5, 3.246, 13.3, 4 0 0
29.2, 3.061, 100.0, 3 3 0
33.8, 2.651, 18.9, 4 2 2
35.2, 2.547, 12.8, 4 1 3
41.7, 2.164, 18.3, 6 0 0
42.9, 2.107, 12.1, 5 3 2
49.6, 1.836, 10.3, 5 5 0
51.7, 1.767, 27.9, 6 3 3
72.0, 1.312, 10.2, 8 5 3
83.6, 1.157, 10.6, 9 3 6